This entry pairs a crystal structure of Li2Cd2WO6 with its simulated powder X-ray diffraction pattern. Radiation: Cu Kα X-rays. Structure: a structure optimized by DFT (GGA+U).
Lines closer than 0.1° are merged.

Crystal structure
a = 5.7448 Å, b = 9.8310 Å, c = 5.3237 Å
α = 90.00°, β = 104.68°, γ = 90.00°
Space group C2/m (No. 12)
Asymmetric unit:
Li (0.0000, 0.1354, 0.0000) (multiplicity 4)
Cd (0.0000, 0.3377, 0.5000) (multiplicity 4)
W (0.0000, 0.0000, 0.5000) (multiplicity 2)
O (0.1877, 0.1444, 0.7182) (multiplicity 8)
O (0.2188, 0.0000, 0.2705) (multiplicity 4)

Main lines, sorted by position (2θ from 10° to 80°):
2θ (°)	Rel. int.
17.2	100
31.7	38
32.2	14
32.5	21
34.2	22
38.3	39
41.3	16
44.5	15
51.0	13
55.9	12